Starting from a DFT-relaxed cell (PBE, Alexandria), the powder diffractogram of CePm2 was simulated for Cu Kα (weighted mean of Kα1 and Kα2).

Structural model:
```
data_CePm2
_chemical_formula_sum 'Ce2 Pm4'
_cell_length_a 3.567
_cell_length_b 3.567
_cell_length_c 15.191
_cell_angle_alpha 90.00
_cell_angle_beta 90.00
_cell_angle_gamma 90.00
_space_group_name_H-M_alt 'I 4/m m m'
_space_group_IT_number 139
_space_group_name_Hall '-I 4 2'
loop_
_atom_site_label
_atom_site_type_symbol
_atom_site_fract_x
_atom_site_fract_y
_atom_site_fract_z
Ce1 Ce 0.000 0.000 0.000
Pm1 Pm 0.000 0.000 0.341
```

Largest 10 diffraction maxima, by angle, 15° ≤ 2θ ≤ 90°:
2θ (°)  d/Å  Rel. int.  (hkl)
30.66  2.916  1000  1 0 3
35.45  2.532  162  0 0 6
35.59  2.522  341  1 1 0
51.12  1.787  229  1 1 6
51.22  1.784  121  2 0 0
60.70  1.526  126  1 0 9
60.89  1.522  283  2 1 3
63.84  1.458  117  2 0 6
83.36  1.159  103  2 1 9
86.19  1.128  107  3 1 0